Entry 1:
Starting from a cell relaxed with PBE, the X-ray diffraction stick pattern of Y5In2Ir2Au was computed for copper Kα.
Peak positions follow from Bragg's law for the DFT cell and can differ from measured ones.

Principal peaks in the range 2θ = 15–90°, by angle:
2θ/deg	intensity
16.88	22
23.96	21
31.41	16
32.62	14
34.15	21
34.40	100
36.95	28
49.83	13

Crystal structure
Unit cell a=11.743 b=11.743 c=3.660 alpha=90.00 beta=90.00 gamma=90.00
Atoms (fractional coordinates):
Y  0.000  0.500  0.000
Y  0.076  0.200  0.000
Y  0.200  0.924  0.000
Y  0.300  0.424  0.000
Y  0.424  0.700  0.000
Y  0.500  0.000  0.000
Y  0.576  0.300  0.000
Y  0.700  0.576  0.000
Y  0.800  0.076  0.000
Y  0.924  0.800  0.000
In  0.173  0.673  0.500
In  0.327  0.173  0.500
In  0.673  0.827  0.500
In  0.827  0.327  0.500
Ir  0.135  0.365  0.500
Ir  0.365  0.865  0.500
Ir  0.635  0.135  0.500
Ir  0.865  0.635  0.500
Au  0.000  0.000  0.500
Au  0.500  0.500  0.500



Entry 2:
Starting from a cell relaxed with PBE, the X-ray diffraction stick pattern of Ba2Hg2H4Rh was computed for copper Kα.
Peak positions follow from Bragg's law for the DFT cell and can differ from measured ones.

Principal peaks in the range 2θ = 15–90°, by angle:
2θ/deg	intensity
19.19	23
27.27	100
35.17	23
35.76	44
38.95	40
45.55	44
61.44	18
63.63	19

Crystal structure
Unit cell a=6.167 b=6.167 c=6.167 alpha=115.95 beta=115.95 gamma=97.17
Atoms (fractional coordinates):
Ba  0.250  0.750  0.500
Ba  0.750  0.250  0.500
Hg  0.167  0.167  0.000
Hg  0.833  0.833  0.000
H  0.314  0.314  0.627
H  0.314  0.686  0.000
H  0.686  0.314  0.000
H  0.686  0.686  0.373
Rh  0.500  0.500  0.000



Entry 3:
Starting from a cell relaxed with PBE, the X-ray diffraction stick pattern of La2PrDyTm2 was computed for copper Kα.
Peak positions follow from Bragg's law for the DFT cell and can differ from measured ones.

Principal peaks in the range 2θ = 15–90°, by angle:
2θ/deg	intensity
30.24	63
30.37	100
31.04	25
31.48	72
31.69	65
33.06	41
36.74	26
55.60	30

Crystal structure
Unit cell a=5.647 b=10.348 c=6.939 alpha=90.00 beta=90.00 gamma=90.00
Atoms (fractional coordinates):
La  0.000  0.025  0.000
La  0.000  0.975  0.500
La  0.500  0.202  0.265
La  0.500  0.798  0.765
Pr  0.000  0.309  0.639
Pr  0.000  0.691  0.139
Dy  0.500  0.473  0.897
Dy  0.500  0.527  0.397
Tm  0.000  0.374  0.145
Tm  0.000  0.626  0.645
Tm  0.500  0.133  0.757
Tm  0.500  0.867  0.257



Entry 4:
Starting from a cell relaxed with PBE, the X-ray diffraction stick pattern of Pr2PuTl9 was computed for copper Kα.
Peak positions follow from Bragg's law for the DFT cell and can differ from measured ones.

Principal peaks in the range 2θ = 15–90°, by angle:
2θ/deg	intensity
32.10	100
37.15	17
37.27	34
53.67	36
63.82	14
63.97	28
67.13	12
88.12	12

Crystal structure
Unit cell a=4.825 b=4.825 c=14.520 alpha=90.00 beta=90.00 gamma=90.00
Atoms (fractional coordinates):
Pr  0.000  0.000  0.166
Pr  0.000  0.000  0.834
Pu  0.000  0.000  0.500
Tl  0.000  0.500  0.000
Tl  0.000  0.500  0.336
Tl  0.000  0.500  0.664
Tl  0.500  0.000  0.000
Tl  0.500  0.000  0.336
Tl  0.500  0.000  0.664
Tl  0.500  0.500  0.169
Tl  0.500  0.500  0.500
Tl  0.500  0.500  0.831